# LiSnSbCl6
Simulated PXRD pattern, Cu Kα X-rays. Input: DFT lattice parameters and positions (GGA-PBE).

Cell and atoms:
```
data_LiSnSbCl6
_chemical_formula_sum 'Li1 Sn1 Sb1 Cl6'
_cell_length_a 6.7323
_cell_length_b 6.7323
_cell_length_c 6.2870
_cell_angle_alpha 90.00
_cell_angle_beta 90.00
_cell_angle_gamma 120.00
_symmetry_space_group_name_H-M 'P 3 1 2'
_symmetry_Int_Tables_number 149
loop_
_symmetry_equiv_pos_as_xyz
'x,y,z'
'-y,x-y,z'
'-x+y,-x,z'
'-y,-x,-z'
'-x+y,y,-z'
'x,x-y,-z'
loop_
_atom_site_label
_atom_site_type_symbol
_atom_site_fract_x
_atom_site_fract_y
_atom_site_fract_z
Li1 Li 0.0000 0.0000 0.0000
Sn1 Sn 0.3333 0.6667 0.5000
Sb1 Sb 0.6667 0.3333 0.0000
Cl1 Cl 0.3264 0.0140 0.2373
```

Peak list (10 most intense, 2θ = 10–90°, low angle first)
d_spacing, I (rel.), (hkl)
5.830, 25, 1 0 0
4.275, 100, 1 0 1
2.968, 32, 1 1 1
2.645, 29, 2 0 1
2.297, 54, 2 -1 2
2.080, 30, 3 -1 1
1.943, 26, 3 0 0
1.566, 12, 3 1 1
1.518, 12, 2 1 3
1.484, 13, 2 2 2